[1]
# Th3Si3Os
Calculated X-ray powder pattern, Cu Kα, 1.54184 Å. Input: the GGA-PBE geometry in Alexandria.
Neutral-atom scattering factors, no anomalous dispersion.

Atomic structure:
```
data_Th3Si3Os
_space_group_name_H-M_alt 'C 1 2/m 1'
_space_group_IT_number 12
_cell_length_a 10.9297
_cell_length_b 4.3336
_cell_length_c 14.1880
_cell_angle_alpha 90.00
_cell_angle_beta 111.30
_cell_angle_gamma 90.00
loop_
_space_group_symop_operation_xyz
'x,y,z'
'-x,-y,-z'
'-x,y,-z'
'x,-y,z'
'x+1/2,y+1/2,z'
'-x+1/2,-y+1/2,-z'
'-x+1/2,y+1/2,-z'
'x+1/2,-y+1/2,z'
loop_
_atom_site_label
_atom_site_type_symbol
_atom_site_fract_x
_atom_site_fract_y
_atom_site_fract_z
_atom_site_occupancy
Th1 Th 0.0194 0.0000 0.3781 1
Th2 Th 0.1014 0.0000 0.9207 1
Th3 Th 0.2438 0.0000 0.2267 1
Si1 Si 0.0513 0.5000 0.2430 1
Si2 Si 0.1124 0.5000 0.0752 1
Si3 Si 0.1447 0.5000 0.5487 1
Os1 Os 0.2405 0.5000 0.4167 1
```

Most intense lines, 2θ = 10–90°, most intense first:
2θ (°)  I/Imax  h k l
32.35  100  1 1 3
22.30  44  1 1 0
41.68  35  0 2 0
32.22  34  3 1 -1
26.28  32  2 0 -4
32.64  28  1 1 -4
39.84  28  3 1 2
36.71  27  3 1 -4
33.90  25  3 1 -3
27.96  24  1 1 -3



[2]
# Ba2ErCd10
Calculated X-ray powder pattern, Cu Kα, 1.54184 Å. Input: the GGA-PBE geometry in Alexandria.
Neutral-atom scattering factors, no anomalous dispersion.

Atomic structure:
```
data_Ba2ErCd10
_space_group_name_H-M_alt 'P -1'
_space_group_IT_number 2
_cell_length_a 6.5302
_cell_length_b 8.9077
_cell_length_c 12.2018
_cell_angle_alpha 90.40
_cell_angle_beta 90.03
_cell_angle_gamma 96.86
loop_
_space_group_symop_operation_xyz
'x,y,z'
'-x,-y,-z'
loop_
_atom_site_label
_atom_site_type_symbol
_atom_site_fract_x
_atom_site_fract_y
_atom_site_fract_z
_atom_site_occupancy
Ba1 Ba 0.1612 0.0257 0.1417 1
Ba2 Ba 0.3384 0.9736 0.6413 1
Er1 Er 0.0000 0.5000 0.5000 1
Er2 Er 0.5000 0.5000 0.0000 1
Cd1 Cd 0.0190 0.6299 0.7628 1
Cd2 Cd 0.0245 0.3488 0.9671 1
Cd3 Cd 0.1239 0.8339 0.3987 1
Cd4 Cd 0.1739 0.1879 0.4117 1
Cd5 Cd 0.2059 0.3502 0.7265 1
Cd6 Cd 0.2928 0.6493 0.2224 1
Cd7 Cd 0.3275 0.8117 0.9099 1
Cd8 Cd 0.3765 0.1646 0.8999 1
Cd9 Cd 0.4762 0.6490 0.4625 1
Cd10 Cd 0.4803 0.3713 0.2655 1
```

Most intense lines, 2θ = 10–90°, most intense first:
2θ (°)  I/Imax  h k l
32.67  100  1 -3 1
31.08  73  0 1 4
30.94  68  0 1 -4
35.93  67  2 -1 3
31.37  62  2 1 -1
35.41  49  2 0 -3
33.08  40  2 -2 1
31.82  39  1 -2 3
32.44  38  1 0 4
30.48  35  2 1 0



[3]
# TlCd11Hg17
Calculated X-ray powder pattern, Cu Kα, 1.54184 Å. Input: the GGA-PBE geometry in Alexandria.
Neutral-atom scattering factors, no anomalous dispersion.

Atomic structure:
```
data_TlCd11Hg17
_space_group_name_H-M_alt 'C 1 m 1'
_space_group_IT_number 8
_cell_length_a 10.8873
_cell_length_b 17.1528
_cell_length_c 9.0775
_cell_angle_alpha 90.00
_cell_angle_beta 119.37
_cell_angle_gamma 90.00
loop_
_space_group_symop_operation_xyz
'x,y,z'
'x,-y,z'
'x+1/2,y+1/2,z'
'x+1/2,-y+1/2,z'
loop_
_atom_site_label
_atom_site_type_symbol
_atom_site_fract_x
_atom_site_fract_y
_atom_site_fract_z
_atom_site_occupancy
Tl1 Tl 0.0000 0.0000 0.0000 1
Cd1 Cd 0.0534 0.3244 0.3251 1
Cd2 Cd 0.0630 0.0902 0.7228 1
Cd3 Cd 0.1627 0.4096 0.1187 1
Cd4 Cd 0.2717 0.0000 0.5040 1
Cd5 Cd 0.3625 0.1737 0.9320 1
Cd6 Cd 0.4803 0.1360 0.6060 1
Hg1 Hg 0.0988 0.2529 0.8981 1
Hg2 Hg 0.1499 0.5000 0.8159 1
Hg3 Hg 0.1837 0.1722 0.5318 1
Hg4 Hg 0.2332 0.1329 0.1907 1
Hg5 Hg 0.2742 0.5000 0.5018 1
Hg6 Hg 0.2934 0.3475 0.7232 1
Hg7 Hg 0.3562 0.0000 0.9122 1
Hg8 Hg 0.3597 0.2950 0.4170 1
Hg9 Hg 0.4231 0.3338 0.1201 1
Hg10 Hg 0.4583 0.0000 0.3229 1
Hg11 Hg 0.4614 0.5000 0.3374 1
```

Most intense lines, 2θ = 10–90°, most intense first:
2θ (°)  I/Imax  h k l
30.75  100  0 4 2
34.30  87  1 3 -3
31.43  81  2 2 -3
35.53  76  2 6 -1
33.67  75  4 0 -1
34.83  64  4 2 -2
32.35  51  3 3 0
31.29  48  0 6 0
35.76  47  3 1 1
38.81  34  3 3 1



[4]
# Ca3Pr6Y2
Calculated X-ray powder pattern, Cu Kα, 1.54184 Å. Input: the GGA-PBE geometry in Alexandria.
Neutral-atom scattering factors, no anomalous dispersion.

Atomic structure:
```
data_Ca3Pr6Y2
_space_group_name_H-M_alt 'R -3 m'
_space_group_IT_number 166
_space_group_name_Hall '-R 3 2"'
_cell_length_a 3.7029
_cell_length_b 3.7029
_cell_length_c 101.2813
_cell_angle_alpha 90.00
_cell_angle_beta 90.00
_cell_angle_gamma 120.00
loop_
_atom_site_label
_atom_site_type_symbol
_atom_site_fract_x
_atom_site_fract_y
_atom_site_fract_z
_atom_site_occupancy
Ca1 Ca 0.0000 0.0000 0.0000 1
Ca2 Ca 0.0000 0.0000 0.2712 1
Pr1 Pr 0.0000 0.0000 0.0939 1
Pr2 Pr 0.0000 0.0000 0.1816 1
Pr3 Pr 0.0000 0.0000 0.3644 1
Y1 Y 0.0000 0.0000 0.4557 1
```

Most intense lines, 2θ = 10–90°, most intense first:
2θ (°)  I/Imax  h k l
29.50  100  0 1 11
34.07  65  1 0 22
29.10  31  0 0 33
58.19  26  1 1 33
49.22  25  1 1 0
48.69  20  0 1 44
13.11  19  0 0 15
58.42  14  2 0 11
61.21  13  0 2 22
79.81  11  1 2 11



[5]
# Ac3Au2
Calculated X-ray powder pattern, Cu Kα, 1.54184 Å. Input: the GGA-PBE geometry in Alexandria.
Neutral-atom scattering factors, no anomalous dispersion.

Atomic structure:
```
data_Ac3Au2
_space_group_name_H-M_alt 'P n m a'
_space_group_IT_number 62
_cell_length_a 12.4315
_cell_length_b 4.2433
_cell_length_c 13.1814
_cell_angle_alpha 90.00
_cell_angle_beta 90.00
_cell_angle_gamma 90.00
loop_
_space_group_symop_operation_xyz
'x,y,z'
'-x,-y,-z'
'-x+1/2,-y,z+1/2'
'x+1/2,y,-z+1/2'
'x+1/2,-y+1/2,-z+1/2'
'-x+1/2,y+1/2,z+1/2'
'-x,y+1/2,-z'
'x,-y+1/2,z'
loop_
_atom_site_label
_atom_site_type_symbol
_atom_site_fract_x
_atom_site_fract_y
_atom_site_fract_z
_atom_site_occupancy
Ac1 Ac 0.0580 0.2500 0.1340 1
Ac2 Ac 0.1293 0.7500 0.5492 1
Ac3 Ac 0.2191 0.2500 0.7941 1
Au1 Au 0.0156 0.7500 0.3209 1
Au2 Au 0.1800 0.7500 0.9826 1
```

Most intense lines, 2θ = 10–90°, most intense first:
2θ (°)  I/Imax  h k l
28.85  100  2 1 2
29.26  100  0 1 3
42.62  71  0 2 0
25.40  66  3 0 2
33.13  62  3 1 2
25.98  60  1 1 2
30.15  58  1 1 3
31.83  55  4 0 2
29.53  51  4 0 1
36.48  49  4 1 1



[6]
# Ca2Ac6Pr
Calculated X-ray powder pattern, Cu Kα, 1.54184 Å. Input: the GGA-PBE geometry in Alexandria.
Neutral-atom scattering factors, no anomalous dispersion.

Atomic structure:
```
data_Ca2Ac6Pr
_space_group_name_H-M_alt 'P -6 m 2'
_space_group_IT_number 187
_space_group_name_Hall 'P -6 2'
_cell_length_a 3.9299
_cell_length_b 3.9299
_cell_length_c 29.4646
_cell_angle_alpha 90.00
_cell_angle_beta 90.00
_cell_angle_gamma 120.00
loop_
_atom_site_label
_atom_site_type_symbol
_atom_site_fract_x
_atom_site_fract_y
_atom_site_fract_z
_atom_site_occupancy
Ca1 Ca 0.0000 0.0000 0.1721 1
Ac1 Ac 0.0000 0.0000 0.3943 1
Ac2 Ac 0.6667 0.3333 0.0633 1
Ac3 Ac 0.6667 0.3333 0.2838 1
Pr1 Pr 0.6667 0.3333 0.5000 1
```

Most intense lines, 2θ = 10–90°, most intense first:
2θ (°)  I/Imax  h k l
30.33  100  1 0 5
28.90  54  1 0 4
26.18  51  1 0 0
27.24  42  0 0 9
54.46  38  1 1 9
46.20  36  1 1 0
38.14  34  1 0 9
51.02  33  1 0 14
56.26  25  0 0 18
75.65  24  1 1 18



[7]
# TcAgSe2
Calculated X-ray powder pattern, Cu Kα, 1.54184 Å. Input: the GGA-PBE geometry in Alexandria.
Neutral-atom scattering factors, no anomalous dispersion.

Atomic structure:
```
data_TcAgSe2
_space_group_name_H-M_alt 'P 1'
_space_group_IT_number 1
_cell_length_a 4.3747
_cell_length_b 5.9902
_cell_length_c 7.6477
_cell_angle_alpha 67.97
_cell_angle_beta 76.85
_cell_angle_gamma 80.61
loop_
_space_group_symop_operation_xyz
'x,y,z'
loop_
_atom_site_label
_atom_site_type_symbol
_atom_site_fract_x
_atom_site_fract_y
_atom_site_fract_z
_atom_site_occupancy
Tc1 Tc 0.0000 0.0000 0.0000 1
Tc2 Tc 0.3787 0.2473 0.9536 1
Ag1 Ag 0.4004 0.6897 0.3002 1
Ag2 Ag 0.5908 0.7704 0.8115 1
Se1 Se 0.0615 0.5402 0.1323 1
Se2 Se 0.2001 0.6001 0.6739 1
Se3 Se 0.6190 0.0963 0.2470 1
Se4 Se 0.8108 0.1926 0.7010 1
```

Most intense lines, 2θ = 10–90°, most intense first:
2θ (°)  I/Imax  h k l
12.70  100  0 0 1
36.60  71  -1 1 2
33.94  68  1 2 1
30.07  56  1 0 2
42.18  34  2 1 1
29.65  31  -1 1 1
48.96  30  0 1 4
27.57  29  1 -1 0
32.37  26  0 2 0
40.43  23  1 -2 0